1.
This entry pairs a crystal structure of Ac4PuTe6 with its calculated powder diffractogram. Radiation: CuKα. Structure: DFT lattice parameters and positions (PBE).

Top 8 peaks for 15 to 90 degrees two-theta, by intensity:
3.088 Å, 28.9°, I = 100
2.911 Å, 30.7°, I = 93
2.785 Å, 32.1°, I = 89
3.782 Å, 23.5°, I = 74
3.250 Å, 27.4°, I = 72
2.176 Å, 41.5°, I = 53
2.476 Å, 36.3°, I = 47
1.501 Å, 61.8°, I = 42

Structure:
a b c (Å): 9.2297 9.2297 9.2297
angles (deg): 90.47 90.47 90.47
Element x y z (fractional)
Ac 0.1392 0.7500 0.3608
Ac 0.2500 0.2500 0.2500
Ac 0.2500 0.6392 0.8608
Ac 0.3608 0.1392 0.7500
Ac 0.6392 0.8608 0.2500
Ac 0.7500 0.3608 0.1392
Ac 0.7500 0.7500 0.7500
Ac 0.8608 0.2500 0.6392
Pu 0.0000 0.0000 0.0000
Pu 0.5000 0.5000 0.5000
Te 0.0610 0.9181 0.6797
Te 0.0819 0.3203 0.9390
Te 0.1797 0.4181 0.5610
Te 0.3203 0.9390 0.0819
Te 0.4181 0.5610 0.1797
Te 0.4390 0.8203 0.5819
Te 0.5610 0.1797 0.4181
Te 0.5819 0.4390 0.8203
Te 0.6797 0.0610 0.9181
Te 0.8203 0.5819 0.4390
Te 0.9181 0.6797 0.0610
Te 0.9390 0.0819 0.3203

***

2.
This entry pairs a crystal structure of Ac2Pu2Te5 with its calculated powder diffractogram. Radiation: CuKα. Structure: DFT lattice parameters and positions (PBE).

Top 8 peaks for 15 to 90 degrees two-theta, by intensity:
2.773 Å, 32.3°, I = 100
2.880 Å, 31.1°, I = 73
4.924 Å, 18.0°, I = 65
2.711 Å, 33.0°, I = 64
3.232 Å, 27.6°, I = 63
2.150 Å, 42.0°, I = 41
4.746 Å, 18.7°, I = 39
2.118 Å, 42.7°, I = 33

Structure:
a b c (Å): 8.4677 8.4677 9.4934
angles (deg): 123.32 123.32 39.76
Element x y z (fractional)
Ac 0.1148 0.1148 0.2601
Ac 0.8852 0.8852 0.7399
Pu 0.3868 0.3868 0.1926
Pu 0.6132 0.6132 0.8074
Te 0.1422 0.1422 0.9332
Te 0.3700 0.3700 0.5091
Te 0.5000 0.5000 0.0000
Te 0.6300 0.6300 0.4909
Te 0.8578 0.8578 0.0668

***

3.
This entry pairs a crystal structure of Ac3Y3PuTe8 with its calculated powder diffractogram. Radiation: CuKα. Structure: DFT lattice parameters and positions (PBE).

Top 8 peaks for 15 to 90 degrees two-theta, by intensity:
3.203 Å, 27.9°, I = 100
2.288 Å, 39.4°, I = 38
2.243 Å, 40.2°, I = 38
1.837 Å, 49.6°, I = 20
1.421 Å, 65.7°, I = 17
1.444 Å, 64.5°, I = 17
1.303 Å, 72.5°, I = 13
1.601 Å, 57.6°, I = 13

Structure:
a b c (Å): 9.1543 9.1543 9.1543
angles (deg): 58.67 58.67 58.67
Element x y z (fractional)
Ac 0.0000 0.5000 0.5000
Ac 0.5000 0.0000 0.5000
Ac 0.5000 0.5000 0.0000
Y 0.0000 0.0000 0.5000
Y 0.0000 0.5000 0.0000
Y 0.5000 0.0000 0.0000
Pu 0.5000 0.5000 0.5000
Te 0.2321 0.7514 0.7514
Te 0.2417 0.2417 0.2417
Te 0.2486 0.2486 0.7679
Te 0.2486 0.7679 0.2486
Te 0.7514 0.2321 0.7514
Te 0.7514 0.7514 0.2321
Te 0.7583 0.7583 0.7583
Te 0.7679 0.2486 0.2486

***

4.
This entry pairs a crystal structure of Ac2PuZn9 with its calculated powder diffractogram. Radiation: CuKα. Structure: DFT lattice parameters and positions (PBE).

Top 8 peaks for 15 to 90 degrees two-theta, by intensity:
2.392 Å, 37.6°, I = 100
2.833 Å, 31.6°, I = 68
3.019 Å, 29.6°, I = 62
2.767 Å, 32.4°, I = 55
2.443 Å, 36.8°, I = 46
1.510 Å, 61.4°, I = 34
4.826 Å, 18.4°, I = 27
1.416 Å, 66.0°, I = 25

Structure:
a b c (Å): 9.5161 9.5161 9.5161
angles (deg): 34.64 34.64 34.64
Element x y z (fractional)
Ac 0.1387 0.1387 0.1387
Ac 0.8613 0.8613 0.8613
Pu 0.0000 0.0000 0.0000
Zn 0.0745 0.5790 0.5790
Zn 0.3345 0.3345 0.3345
Zn 0.4210 0.4210 0.9255
Zn 0.4210 0.9255 0.4210
Zn 0.5000 0.5000 0.5000
Zn 0.5790 0.0745 0.5790
Zn 0.5790 0.5790 0.0745
Zn 0.6655 0.6655 0.6655
Zn 0.9255 0.4210 0.4210

***

5.
This entry pairs a crystal structure of Rb2AcSiS4 with its calculated powder diffractogram. Radiation: CuKα. Structure: DFT lattice parameters and positions (PBE).

Top 8 peaks for 15 to 90 degrees two-theta, by intensity:
3.399 Å, 26.2°, I = 100
2.158 Å, 41.9°, I = 61
3.951 Å, 22.5°, I = 55
5.807 Å, 15.3°, I = 39
2.793 Å, 32.0°, I = 32
3.266 Å, 27.3°, I = 26
1.882 Å, 48.4°, I = 23
5.587 Å, 15.9°, I = 18

Structure:
a b c (Å): 7.0390 7.0390 7.0390
angles (deg): 111.72 111.72 105.07
Element x y z (fractional)
Rb 0.0000 0.0000 0.0000
Rb 0.7500 0.2500 0.5000
Ac 0.2500 0.7500 0.5000
Si 0.5000 0.5000 0.0000
S 0.2169 0.1806 0.6855
S 0.4685 0.7831 0.9637
S 0.4952 0.5315 0.3145
S 0.8194 0.5048 0.0363

***

6.
This entry pairs a crystal structure of Rb4Ac3TbS8 with its calculated powder diffractogram. Radiation: CuKα. Structure: DFT lattice parameters and positions (PBE).

Top 8 peaks for 15 to 90 degrees two-theta, by intensity:
3.171 Å, 28.1°, I = 100
3.601 Å, 24.7°, I = 55
2.303 Å, 39.1°, I = 37
2.187 Å, 41.3°, I = 36
3.867 Å, 23.0°, I = 24
1.904 Å, 47.8°, I = 22
1.800 Å, 50.7°, I = 19
1.390 Å, 67.4°, I = 16

Structure:
a b c (Å): 9.2367 9.2367 9.2367
angles (deg): 56.53 56.53 56.53
Element x y z (fractional)
Rb 0.0000 0.0000 0.0000
Rb 0.0000 0.5000 0.5000
Rb 0.5000 0.0000 0.5000
Rb 0.5000 0.5000 0.0000
Ac 0.0000 0.0000 0.5000
Ac 0.0000 0.5000 0.0000
Ac 0.5000 0.0000 0.0000
Tb 0.5000 0.5000 0.5000
S 0.2353 0.2353 0.2353
S 0.2490 0.7245 0.7245
S 0.2755 0.2755 0.7510
S 0.2755 0.7510 0.2755
S 0.7245 0.2490 0.7245
S 0.7245 0.7245 0.2490
S 0.7510 0.2755 0.2755
S 0.7647 0.7647 0.7647

***

7.
This entry pairs a crystal structure of Rb3Ac2TmS6 with its calculated powder diffractogram. Radiation: CuKα. Structure: DFT lattice parameters and positions (PBE).

Top 8 peaks for 15 to 90 degrees two-theta, by intensity:
3.143 Å, 28.4°, I = 100
3.561 Å, 25.0°, I = 55
2.291 Å, 39.3°, I = 37
2.160 Å, 41.8°, I = 35
3.863 Å, 23.0°, I = 25
1.885 Å, 48.3°, I = 23
1.780 Å, 51.3°, I = 19
1.374 Å, 68.3°, I = 16

Structure:
a b c (Å): 7.4831 7.4831 8.1204
angles (deg): 98.85 98.85 120.00
Element x y z (fractional)
Rb 0.0000 0.0000 0.0000
Rb 0.3332 0.6668 0.0000
Rb 0.6668 0.3332 0.0000
Ac 0.1666 0.8334 0.5000
Ac 0.8334 0.1666 0.5000
Tm 0.5000 0.5000 0.5000
S 0.1229 0.4340 0.3022
S 0.2550 0.2550 0.6973
S 0.4340 0.1229 0.3022
S 0.5660 0.8771 0.6978
S 0.7450 0.7450 0.3027
S 0.8771 0.5660 0.6978

***

8.
This entry pairs a crystal structure of RbAcSb4 with its calculated powder diffractogram. Radiation: CuKα. Structure: DFT lattice parameters and positions (PBE).

Top 8 peaks for 15 to 90 degrees two-theta, by intensity:
2.778 Å, 32.2°, I = 100
1.773 Å, 51.5°, I = 35
2.660 Å, 33.7°, I = 34
3.257 Å, 27.4°, I = 33
1.629 Å, 56.5°, I = 29
1.199 Å, 80.0°, I = 22
1.881 Å, 48.4°, I = 14
1.389 Å, 67.4°, I = 13

Structure:
a b c (Å): 6.5146 6.5146 6.5146
angles (deg): 60.00 60.00 60.00
Element x y z (fractional)
Rb 0.0000 0.0000 0.0000
Ac 0.2500 0.2500 0.2500
Sb 0.1252 0.6249 0.6249
Sb 0.6249 0.1252 0.6249
Sb 0.6249 0.6249 0.1252
Sb 0.6249 0.6249 0.6249

***

9.
This entry pairs a crystal structure of Rb3Ac3SbSe8 with its calculated powder diffractogram. Radiation: CuKα. Structure: DFT lattice parameters and positions (PBE).

Top 8 peaks for 15 to 90 degrees two-theta, by intensity:
3.287 Å, 27.1°, I = 100
2.247 Å, 40.1°, I = 36
2.410 Å, 37.3°, I = 34
2.606 Å, 34.4°, I = 19
1.855 Å, 49.1°, I = 19
1.431 Å, 65.2°, I = 15
2.167 Å, 41.7°, I = 13
1.937 Å, 46.9°, I = 13

Structure:
a b c (Å): 9.6932 9.6932 9.6932
angles (deg): 55.25 55.25 55.25
Element x y z (fractional)
Rb 0.0000 0.5000 0.5000
Rb 0.5000 0.0000 0.5000
Rb 0.5000 0.5000 0.0000
Ac 0.0000 0.0000 0.5000
Ac 0.0000 0.5000 0.0000
Ac 0.5000 0.0000 0.0000
Sb 0.5000 0.5000 0.5000
Se 0.2360 0.2360 0.2360
Se 0.2600 0.7168 0.7168
Se 0.2832 0.2832 0.7400
Se 0.2832 0.7400 0.2832
Se 0.7168 0.2600 0.7168
Se 0.7168 0.7168 0.2600
Se 0.7400 0.2832 0.2832
Se 0.7640 0.7640 0.7640

***

10.
This entry pairs a crystal structure of Rb2AcSbTe4 with its calculated powder diffractogram. Radiation: CuKα. Structure: DFT lattice parameters and positions (PBE).

Top 8 peaks for 15 to 90 degrees two-theta, by intensity:
3.457 Å, 25.8°, I = 100
2.367 Å, 38.0°, I = 38
2.530 Å, 35.5°, I = 35
1.953 Å, 46.5°, I = 20
2.737 Å, 32.7°, I = 13
1.589 Å, 58.0°, I = 11
1.728 Å, 53.0°, I = 11
1.507 Å, 61.5°, I = 11

Structure:
a b c (Å): 8.2072 4.7280 9.0000
angles (deg): 90.00 107.64 90.00
Element x y z (fractional)
Rb 0.0000 0.0000 0.0000
Rb 0.5000 0.5000 0.0000
Ac 0.0000 0.5000 0.5000
Sb 0.5000 0.0000 0.5000
Te 0.2527 0.0000 0.7086
Te 0.2828 0.5000 0.3005
Te 0.7172 0.5000 0.6995
Te 0.7473 0.0000 0.2914

***

11.
This entry pairs a crystal structure of Rb2AcTaSe4 with its calculated powder diffractogram. Radiation: CuKα. Structure: DFT lattice parameters and positions (PBE).

Top 8 peaks for 15 to 90 degrees two-theta, by intensity:
3.476 Å, 25.6°, I = 100
2.199 Å, 41.0°, I = 62
2.841 Å, 31.5°, I = 51
1.739 Å, 52.6°, I = 28
1.483 Å, 62.6°, I = 25
4.017 Å, 22.1°, I = 17
1.100 Å, 89.0°, I = 17
2.009 Å, 45.1°, I = 16

Structure:
a b c (Å): 7.1824 7.1824 7.1824
angles (deg): 111.98 111.98 104.57
Element x y z (fractional)
Rb 0.0000 0.0000 0.0000
Rb 0.7500 0.2500 0.5000
Ac 0.5000 0.5000 0.0000
Ta 0.2500 0.7500 0.5000
Se 0.1201 0.5585 0.0679
Se 0.4415 0.5095 0.5616
Se 0.4905 0.0522 0.9321
Se 0.9478 0.8799 0.4384

***

12.
This entry pairs a crystal structure of Rb2AcTlSe4 with its calculated powder diffractogram. Radiation: CuKα. Structure: DFT lattice parameters and positions (PBE).

Top 8 peaks for 15 to 90 degrees two-theta, by intensity:
3.316 Å, 26.9°, I = 100
3.181 Å, 28.0°, I = 40
2.345 Å, 38.4°, I = 38
2.296 Å, 39.2°, I = 32
1.907 Å, 47.7°, I = 17
1.869 Å, 48.7°, I = 17
2.330 Å, 38.6°, I = 16
2.262 Å, 39.9°, I = 15

Structure:
a b c (Å): 9.1958 9.1958 9.0558
angles (deg): 118.14 118.14 92.39
Element x y z (fractional)
Rb 0.0000 0.0000 0.0000
Rb 0.0000 0.0000 0.5000
Rb 0.0000 0.5000 0.0000
Rb 0.5000 0.0000 0.5000
Ac 0.0000 0.5000 0.5000
Ac 0.5000 0.0000 0.0000
Tl 0.5000 0.5000 0.0000
Tl 0.5000 0.5000 0.5000
Se 0.2523 0.7363 0.9693
Se 0.2637 0.7477 0.5307
Se 0.2852 0.3018 0.5150
Se 0.3018 0.2852 0.0150
Se 0.6982 0.7148 0.9850
Se 0.7148 0.6982 0.4850
Se 0.7363 0.2523 0.4693
Se 0.7477 0.2637 0.0307